Computed XRD peak list of Ca3Pm for a wavelength of 1.5418 Å, from a DFT-relaxed cell (GGA-PBE, the Materials Project).
Peak positions follow from Bragg's law for the DFT cell and can differ from measured ones.

Structure:
```
data_Ca3Pm
_chemical_formula_sum 'Ca12 Pm4'
_space_group_name_H-M_alt 'F m -3 m'
_space_group_IT_number 225
_space_group_name_Hall '-F 4 2 3'
_cell_length_a 8.5405
_cell_length_b 8.5405
_cell_length_c 8.5405
_cell_angle_alpha 90.00
_cell_angle_beta 90.00
_cell_angle_gamma 90.00
loop_
_atom_site_label
_atom_site_type_symbol
_atom_site_fract_x
_atom_site_fract_y
_atom_site_fract_z
Ca1 Ca 0.0000 0.0000 0.0000
Ca2 Ca 0.2500 0.2500 0.2500
Pm1 Pm 0.0000 0.0000 0.5000
```

Top 6 peaks for 2θ = 10–90°, most intense first:
- (2 2 0), 29.58°, I 100
- (4 2 2), 52.49°, I 38
- (1 1 1), 17.99°, I 31
- (3 1 1), 34.84°, I 19
- (4 0 0), 42.33°, I 18
- (6 4 2), 84.98°, I 18